[1]
Diffraction record for Sc2Al5Zn. The X-ray powder pattern is computed, not measured: it uses a crystal structure in OQMD, relaxed with PBE and λ = 1.5418 Å (Cu Kα).

Atomic structure:
```
Sc2Al5Zn
1.0
4.671 0.000 0.000
0.000 2.932 5.028
0.000 -2.932 5.028
Sc Al Zn
2 5 1
Cartesian
0.000 0.000 0.000 Sc
2.335 0.000 3.345 Sc
0.000 -1.398 7.502 Al
0.000 1.398 7.502 Al
2.335 -1.388 5.903 Al
2.335 1.388 5.903 Al
2.335 0.000 8.319 Al
0.000 0.000 5.076 Zn
```

Most intense lines, 2θ from 5° to 70°, low angle first:
2theta, intensity
26.03, 18
35.44, 26
35.71, 13
38.55, 39
40.51, 100
40.76, 48
53.36, 15
63.98, 16

[2]
Diffraction record for Sc2Al3Zn3. The X-ray powder pattern is computed, not measured: it uses a crystal structure in OQMD, relaxed with PBE and λ = 1.5418 Å (Cu Kα).

Atomic structure:
```
Sc2Al3Zn3
1.0
5.861 0.000 0.000
-2.930 5.076 0.000
0.000 0.000 4.554
Sc Al Zn
2 3 3
Cartesian
0.000 0.000 0.000 Sc
0.000 3.384 2.277 Sc
1.538 0.888 2.277 Al
4.323 0.888 2.277 Al
2.930 3.300 2.277 Al
2.930 0.038 0.000 Zn
1.498 2.519 0.000 Zn
4.363 2.519 0.000 Zn
```

Most intense lines, 2θ from 5° to 70°, low angle first:
2theta, intensity
17.47, 6
19.49, 16
35.37, 33
39.58, 23
40.70, 100
54.11, 18
63.49, 16
67.11, 3

[3]
Diffraction record for Sr2AlTcSe6. The X-ray powder pattern is computed, not measured: it uses a crystal structure in OQMD, relaxed with PBE and λ = 1.5418 Å (Cu Kα).

Atomic structure:
```
Sr2AlTcSe6
1.0
-3.331 3.331 5.474
3.331 -3.331 5.474
3.331 3.331 -5.474
Sr Al Tc Se
2 1 1 6
Cartesian
3.331 0.000 2.737 Sr
0.000 3.331 2.737 Sr
0.000 0.000 0.000 Al
0.000 0.000 5.474 Tc
4.447 1.093 0.000 Se
0.000 0.000 2.828 Se
1.093 2.216 0.000 Se
2.239 1.115 5.474 Se
0.000 0.000 8.121 Se
-1.115 2.239 5.474 Se
```

Most intense lines, 2θ from 5° to 70°, low angle first:
2theta, intensity
26.76, 53
31.11, 98
31.43, 97
32.72, 100
38.20, 62
39.02, 49
46.16, 47
51.16, 52